# 1
The following is a calculated powder X-ray diffraction pattern of K6Ti2S6O. It was derived from a crystal structure in the Materials Project, relaxed with GGA-PBE, using a wavelength of 1.5418 Å.
No peak broadening, texture or thermal motion is included.

Largest 6 diffraction maxima, by intensity, 10° ≤ 2θ ≤ 90°:
d [Å]  two_theta  I_rel
3.064  29.15  100.0
2.754  32.51  77.8
3.074  29.05  52.4
3.203  27.86  51.8
3.556  25.04  46.7
6.364  13.92  42.8

```
data_K6Ti2S6O
_chemical_formula_sum 'K24 Ti8 S24 O4'
_cell_length_a 13.466
_cell_length_b 10.476
_cell_length_c 13.124
_cell_angle_alpha 90.00
_cell_angle_beta 105.88
_cell_angle_gamma 90.00
_space_group_name_H-M_alt 'P 1 21/c 1'
_space_group_IT_number 14
loop_
_space_group_symop_operation_xyz
'x,y,z'
'-x,-y,-z'
'-x,y+1/2,-z+1/2'
'x,-y+1/2,z+1/2'
loop_
_atom_site_label
_atom_site_type_symbol
_atom_site_fract_x
_atom_site_fract_y
_atom_site_fract_z
K1 K 0.005 0.158 0.396
K2 K 0.087 0.024 0.160
K3 K 0.203 0.735 0.435
K4 K 0.286 0.216 0.584
K5 K 0.406 0.545 0.830
K6 K 0.469 0.168 0.897
Ti1 Ti 0.178 0.130 0.793
Ti2 Ti 0.338 0.609 0.217
S1 S 0.033 0.147 0.655
S2 S 0.142 0.058 0.942
S3 S 0.225 0.726 0.695
S4 S 0.247 0.174 0.332
S5 S 0.375 0.573 0.062
S6 S 0.489 0.650 0.343
O1 O 0.281 0.038 0.756
```

***

# 2
The following is a calculated powder X-ray diffraction pattern of UPb. It was derived from a crystal structure in the Materials Project, relaxed with GGA-PBE, using a wavelength of 1.5418 Å.
No peak broadening, texture or thermal motion is included.

Largest 6 diffraction maxima, by intensity, 10° ≤ 2θ ≤ 90°:
d [Å]  two_theta  I_rel
2.764  32.40  100.0
2.462  36.49  36.6
1.473  63.11  31.0
1.669  55.01  23.1
2.271  39.68  14.6
1.741  52.56  13.2

```
data_UPb
_chemical_formula_sum 'U1 Pb1'
_cell_length_a 3.482
_cell_length_b 3.482
_cell_length_c 4.542
_cell_angle_alpha 90.00
_cell_angle_beta 90.00
_cell_angle_gamma 90.00
_space_group_name_H-M_alt 'P 4/m m m'
_space_group_IT_number 123
_space_group_name_Hall '-P 4 2'
loop_
_atom_site_label
_atom_site_type_symbol
_atom_site_fract_x
_atom_site_fract_y
_atom_site_fract_z
U1 U 0.000 0.000 0.000
Pb1 Pb 0.500 0.500 0.500
```

***

# 3
The following is a calculated powder X-ray diffraction pattern of Zr3Bi. It was derived from a crystal structure in the Materials Project, relaxed with GGA-PBE, using a wavelength of 1.5418 Å.
No peak broadening, texture or thermal motion is included.

Largest 6 diffraction maxima, by intensity, 10° ≤ 2θ ≤ 90°:
d [Å]  two_theta  I_rel
2.447  36.73  100.0
2.657  33.74  28.1
2.756  32.49  23.2
1.490  62.32  21.2
1.365  68.77  20.9
3.825  23.25  17.9

```
data_Zr3Bi
_chemical_formula_sum 'Zr6 Bi2'
_cell_length_a 6.3651
_cell_length_b 6.3651
_cell_length_c 5.3132
_cell_angle_alpha 90.00
_cell_angle_beta 90.00
_cell_angle_gamma 120.00
_space_group_name_H-M_alt 'P 63/m m c'
_space_group_IT_number 194
_space_group_name_Hall '-P 6c 2c'
loop_
_atom_site_label
_atom_site_type_symbol
_atom_site_fract_x
_atom_site_fract_y
_atom_site_fract_z
Zr1 Zr 0.1631 0.3261 0.2500
Bi1 Bi 0.3333 0.6667 0.7500
```